Diffraction record for CsMg14BO15. The powder X-ray diffraction pattern is calculated, not measured: it uses the GGA-PBE geometry in the Materials Project and λ = 1.5418 Å (Cu Kα).

Largest 10 diffraction maxima, by intensity, 5 to 70 degrees two-theta:
2θ (°), intensity
10.53, 100
43.07, 99
44.15, 99
34.81, 92
26.91, 77
29.34, 76
22.72, 61
63.39, 55
41.83, 55
31.59, 45

Structural model:
a = 4.1025 Å, b = 8.4000 Å, c = 10.7978 Å
α = 90.00°, β = 90.00°, γ = 90.00°
Space group Pmm2 (No. 25)
Unique sites:
Cs 0.0000 0.0000 0.0000 [1 per cell]
Mg 0.0000 0.0000 0.4580 [1 per cell]
Mg 0.0000 0.2454 0.2654 [2 per cell]
Mg 0.0000 0.2447 0.6561 [2 per cell]
Mg 0.0000 0.5000 0.9419 [1 per cell]
Mg 0.5000 0.0000 0.2644 [1 per cell]
Mg 0.5000 0.0000 0.6600 [1 per cell]
Mg 0.5000 0.2453 0.8482 [2 per cell]
Mg 0.5000 0.2548 0.4480 [2 per cell]
Mg 0.5000 0.5000 0.2165 [1 per cell]
Mg 0.5000 0.5000 0.6126 [1 per cell]
B 0.0000 0.5000 0.4316 [1 per cell]
O 0.0000 0.0000 0.2622 [1 per cell]
O 0.0000 0.0000 0.6430 [1 per cell]
O 0.0000 0.2466 0.4513 [2 per cell]
O 0.0000 0.2996 0.8459 [2 per cell]
O 0.0000 0.5000 0.2947 [1 per cell]
O 0.5000 0.0000 0.4545 [1 per cell]
O 0.5000 0.0000 0.8454 [1 per cell]
O 0.5000 0.2476 0.2424 [2 per cell]
O 0.5000 0.2676 0.6527 [2 per cell]
O 0.5000 0.5000 0.0102 [1 per cell]
O 0.5000 0.5000 0.4321 [1 per cell]